Theoretical PXRD pattern
Compound: KTl12Se6
Radiation: CuKα
Structure: a PBE-relaxed structure
Peak positions follow from Bragg's law for the DFT cell and can differ from measured ones.

Cell lengths 9.1104, 9.1104, 9.1104 Å; angles 104.15, 104.15, 104.15 degrees
Sites, in units of the cell vectors:
K: 0.0000 0.0000 0.0000
Tl: 0.1168 0.5000 0.8832
Tl: 0.1168 0.8832 0.5000
Tl: 0.1845 0.4440 0.4440
Tl: 0.4440 0.1845 0.4440
Tl: 0.4440 0.4440 0.1845
Tl: 0.5000 0.1168 0.8832
Tl: 0.5000 0.8832 0.1168
Tl: 0.5560 0.5561 0.8155
Tl: 0.5560 0.8155 0.5560
Tl: 0.8155 0.5560 0.5560
Tl: 0.8832 0.1168 0.5000
Tl: 0.8832 0.5000 0.1168
Se: 0.2660 0.7293 0.7293
Se: 0.2707 0.2707 0.7340
Se: 0.2707 0.7340 0.2707
Se: 0.7293 0.2660 0.7293
Se: 0.7293 0.7293 0.2660
Se: 0.7340 0.2707 0.2707

Peak list (10 most intense, 2θ = 10–90°, low angle first)
2theta	d (Å)	I_rel
10.58	8.359	39
26.75	3.332	50
27.01	3.301	100
32.12	2.786	53
32.34	2.768	33
32.55	2.751	21
32.87	2.725	46
32.98	2.716	21
39.57	2.277	41
52.07	1.756	24

Theoretical PXRD pattern
Compound: Mg3In2Sn3
Radiation: CuKα
Structure: a PBE-relaxed structure
Peak positions follow from Bragg's law for the DFT cell and can differ from measured ones.

Cell lengths 4.2985, 4.7443, 19.4400 Å; angles 90.00, 90.00, 90.00 degrees
Sites, in units of the cell vectors:
Mg: 0.0000 0.0000 0.0000
Mg: 0.0000 0.5000 0.1242
Mg: 0.0000 0.5000 0.8758
Mg: 0.5000 0.0000 0.3758
Mg: 0.5000 0.0000 0.6242
Mg: 0.5000 0.5000 0.5000
In: 0.0000 0.0000 0.2503
In: 0.0000 0.0000 0.7497
In: 0.5000 0.5000 0.2497
In: 0.5000 0.5000 0.7503
Sn: 0.0000 0.0000 0.5000
Sn: 0.0000 0.5000 0.3795
Sn: 0.0000 0.5000 0.6205
Sn: 0.5000 0.0000 0.1205
Sn: 0.5000 0.0000 0.8795
Sn: 0.5000 0.5000 0.0000

Peak list (10 most intense, 2θ = 10–90°, low angle first)
2theta	d (Å)	I_rel
21.17	4.197	19
23.24	3.828	13
33.64	2.664	100
36.99	2.430	19
37.93	2.372	18
42.04	2.149	14
54.02	1.697	13
64.54	1.444	15
65.79	1.419	14
70.72	1.332	11

Theoretical PXRD pattern
Compound: CaTmTc2O8
Radiation: CuKα
Structure: a PBE-relaxed structure
Peak positions follow from Bragg's law for the DFT cell and can differ from measured ones.

Cell lengths 5.8806, 5.8806, 6.7090 Å; angles 90.00, 90.00, 120.00 degrees
Sites, in units of the cell vectors:
Ca: 0.0000 0.0000 0.0000
Tm: 0.0000 0.0000 0.5000
Tc: 0.3333 0.6667 0.8022
Tc: 0.6667 0.3333 0.1978
O: 0.1607 0.3214 0.7225
O: 0.1607 0.8393 0.7225
O: 0.3214 0.1607 0.2775
O: 0.3333 0.6667 0.0637
O: 0.6667 0.3333 0.9363
O: 0.6786 0.8393 0.7225
O: 0.8393 0.1607 0.2775
O: 0.8393 0.6786 0.2775

Peak list (10 most intense, 2θ = 10–90°, low angle first)
2theta	d (Å)	I_rel
17.41	5.093	17
21.91	4.056	100
30.40	2.940	58
31.95	2.801	43
37.79	2.381	12
44.68	2.028	27
49.25	1.850	23
51.33	1.780	14
54.02	1.698	11
55.00	1.670	20